This entry pairs a crystal structure of Li2Ca2NbO6 with its calculated PXRD pattern. Radiation: Cu Kα. Structure: a crystal structure in Alexandria, relaxed with PBE.

a = 5.293 Å, b = 5.293 Å, c = 5.346 Å
α = 90.00°, β = 90.00°, γ = 120.00°
Sites, in units of the cell vectors:
Li (0.333, 0.667, 0.000)
Li (0.667, 0.333, 0.000)
Ca (0.333, 0.667, 0.500)
Ca (0.667, 0.333, 0.500)
Nb (0.000, 0.000, 0.000)
O (0.000, 0.318, 0.784)
O (0.000, 0.682, 0.216)
O (0.318, 0.000, 0.784)
O (0.318, 0.318, 0.216)
O (0.682, 0.000, 0.216)
O (0.682, 0.682, 0.784)

Largest 6 diffraction maxima, by angle, 2θ from 5° to 70°:
d [Å]  2θ (°)  I (rel.)
3.480  25.6  100
2.646  33.9  26
2.106  42.9  22
1.881  48.4  49
1.648  55.8  21
1.528  60.6  16

=====

This entry pairs a crystal structure of Li4Ca5Nd with its calculated PXRD pattern. Radiation: Cu Kα. Structure: a crystal structure in Alexandria, relaxed with PBE.

a = 3.942 Å, b = 3.942 Å, c = 20.903 Å
α = 90.00°, β = 90.00°, γ = 90.00°
Sites, in units of the cell vectors:
Li (0.000, 0.000, 0.094)
Li (0.000, 0.000, 0.286)
Li (0.000, 0.000, 0.714)
Li (0.000, 0.000, 0.906)
Ca (0.500, 0.500, 0.000)
Ca (0.500, 0.500, 0.189)
Ca (0.500, 0.500, 0.380)
Ca (0.500, 0.500, 0.620)
Ca (0.500, 0.500, 0.811)
Nd (0.000, 0.000, 0.500)

Largest 6 diffraction maxima, by angle, 2θ from 5° to 70°:
d [Å]  2θ (°)  I (rel.)
10.452  8.5  58
3.874  23.0  39
3.689  24.1  35
2.868  31.2  100
2.788  32.1  52
1.625  56.7  34

=====

This entry pairs a crystal structure of Li2CaNd2Pb2 with its calculated PXRD pattern. Radiation: Cu Kα. Structure: a crystal structure in Alexandria, relaxed with PBE.

a = 9.870 Å, b = 9.870 Å, c = 9.870 Å
α = 28.85°, β = 28.85°, γ = 28.85°
Sites, in units of the cell vectors:
Li (0.099, 0.099, 0.099)
Li (0.901, 0.901, 0.901)
Ca (0.500, 0.500, 0.500)
Nd (0.372, 0.372, 0.372)
Nd (0.628, 0.628, 0.628)
Pb (0.239, 0.239, 0.239)
Pb (0.761, 0.761, 0.761)

Largest 6 diffraction maxima, by angle, 2θ from 5° to 70°:
d [Å]  2θ (°)  I (rel.)
4.079  21.8  81
2.935  30.5  57
2.725  32.9  100
2.459  36.5  92
1.825  50.0  31
1.466  63.5  31

=====

This entry pairs a crystal structure of LiCaNdPt with its calculated PXRD pattern. Radiation: Cu Kα. Structure: a crystal structure in Alexandria, relaxed with PBE.

a = 5.084 Å, b = 5.084 Å, c = 5.084 Å
α = 60.00°, β = 60.00°, γ = 60.00°
Sites, in units of the cell vectors:
Li (0.000, 0.000, 0.000)
Ca (0.750, 0.750, 0.750)
Nd (0.250, 0.250, 0.250)
Pt (0.500, 0.500, 0.500)

Largest 6 diffraction maxima, by angle, 2θ from 5° to 70°:
d [Å]  2θ (°)  I (rel.)
4.151  21.4  71
2.542  35.3  100
2.168  41.7  39
1.798  50.8  18
1.650  55.7  17
1.468  63.4  36

=====

This entry pairs a crystal structure of LiCa2Nd3S6 with its calculated PXRD pattern. Radiation: Cu Kα. Structure: a crystal structure in Alexandria, relaxed with PBE.

a = 6.955 Å, b = 6.955 Å, c = 7.012 Å
α = 99.51°, β = 99.51°, γ = 120.00°
Sites, in units of the cell vectors:
Li (0.000, 0.000, 0.000)
Ca (0.333, 0.667, 0.000)
Ca (0.667, 0.333, 0.000)
Nd (0.166, 0.834, 0.500)
Nd (0.500, 0.500, 0.500)
Nd (0.834, 0.166, 0.500)
S (0.081, 0.411, 0.244)
S (0.248, 0.248, 0.757)
S (0.411, 0.081, 0.244)
S (0.589, 0.919, 0.756)
S (0.752, 0.752, 0.243)
S (0.919, 0.589, 0.756)

Largest 6 diffraction maxima, by angle, 2θ from 5° to 70°:
d [Å]  2θ (°)  I (rel.)
6.619  13.4  52
3.425  26.0  37
3.282  27.2  28
2.848  31.4  100
2.020  44.9  36
2.008  45.2  35